Structure and calculated XRD peak list of Pm15HoIn4 (a structure optimized by DFT (PBE); copper Kα).

Most intense lines, 2θ from 10° to 80°, sorted by position:
31.0°, d = 2.881 Å, rel. 100, (1 1 5)
35.5°, d = 2.525 Å, rel. 17, (0 0 10)
36.2°, d = 2.480 Å, rel. 33, (2 0 0)
51.7°, d = 1.769 Å, rel. 23, (2 0 10)
52.2°, d = 1.753 Å, rel. 12, (2 2 0)
61.1°, d = 1.518 Å, rel. 13, (1 1 15)
62.0°, d = 1.498 Å, rel. 28, (3 1 5)
64.7°, d = 1.440 Å, rel. 12, (2 2 10)
75.3°, d = 1.263 Å, rel. 2, (0 0 20)
76.9°, d = 1.240 Å, rel. 4, (4 0 0)

Structural model:
a = 4.9595 Å, b = 4.9595 Å, c = 25.2539 Å
α = 90.00°, β = 90.00°, γ = 90.00°
Sites, in units of the cell vectors:
Pm: 0.0000 0.0000 0.0000
Pm: 0.0000 0.0000 0.2039
Pm: 0.0000 0.0000 0.4012
Pm: 0.0000 0.0000 0.5988
Pm: 0.0000 0.0000 0.7961
Pm: 0.0000 0.5000 0.1046
Pm: 0.0000 0.5000 0.3025
Pm: 0.0000 0.5000 0.5000
Pm: 0.0000 0.5000 0.6975
Pm: 0.0000 0.5000 0.8954
Pm: 0.5000 0.0000 0.1046
Pm: 0.5000 0.0000 0.3025
Pm: 0.5000 0.0000 0.5000
Pm: 0.5000 0.0000 0.6975
Pm: 0.5000 0.0000 0.8954
Ho: 0.5000 0.5000 0.0000
In: 0.5000 0.5000 0.2050
In: 0.5000 0.5000 0.4014
In: 0.5000 0.5000 0.5986
In: 0.5000 0.5000 0.7950